Record 1
As2Pt: calculated powder diffractogram (copper Kα), based on the GGA-PBE geometry in the Materials Project.

Structural model:
abc: 6.0641 6.0641 6.0641
angles: 90.00 90.00 90.00
Space group Pa-3 (No. 205)
Inequivalent atoms, fractional coordinates:
As1 0.1167 0.1167 0.1167 x8
Pt1 0.0000 0.0000 0.5000 x4

Largest 6 diffraction maxima, in order of falling intensity, 10 to 90 degrees two-theta:
(hkl)	Position (°2θ)	d/Å	I (rel.)
3 1 1	49.88	1.828	100
2 0 0	29.46	3.032	78
1 1 1	25.44	3.501	56
2 2 0	42.15	2.144	52
5 1 1	82.69	1.167	35
2 1 0	33.03	2.712	29

Record 2
Te2Pb3Cl2O6: calculated powder diffractogram (copper Kα), based on the GGA-PBE geometry in the Materials Project.

Structural model:
abc: 5.7066 8.8600 11.1091
angles: 103.14 90.00 108.79
Space group P1 (No. 1)
Inequivalent atoms, fractional coordinates:
Te1 0.0000 0.0000 0.0000 x1
Te2 0.1988 0.4085 0.0979 x1
Te3 0.4687 0.9544 0.4602 x1
Te4 0.7196 0.4571 0.6438 x1
Pb1 0.2526 0.5242 0.4424 x1
Pb2 0.3272 0.6854 0.8483 x1
Pb3 0.5668 0.1609 0.8474 x1
Pb4 0.6244 0.2489 0.2526 x1
Pb5 0.8556 0.7277 0.2479 x1
Pb6 0.9272 0.8836 0.6598 x1
Cl1 0.0475 0.1219 0.3457 x1
Cl2 0.1298 0.2845 0.7481 x1
Cl3 0.4172 0.8369 0.1471 x1
Cl4 0.7727 0.5747 0.9502 x1
O1 0.0405 0.6277 0.6628 x1
O2 0.1483 0.7852 0.4308 x1
O3 0.1931 0.9433 0.8687 x1
O4 0.3025 0.2024 0.0496 x1
O5 0.4621 0.4728 0.2393 x1
O6 0.4844 0.9962 0.6284 x1
O7 0.5691 0.6286 0.6690 x1
O8 0.6332 0.7840 0.4338 x1
O9 0.6931 0.4096 0.4685 x1
O10 0.7313 0.9405 0.8607 x1
O11 0.8730 0.2018 0.0511 x1
O12 0.9993 0.4712 0.2386 x1

Largest 6 diffraction maxima, in order of falling intensity, 10 to 90 degrees two-theta:
(hkl)	Position (°2θ)	d/Å	I (rel.)
1 2 -1	30.97	2.888	100
1 -1 3	28.74	3.106	92
1 0 2	24.27	3.668	57
2 -1 0	31.35	2.853	50
2 1 2	44.32	2.044	44
0 2 2	30.53	2.929	39